# 1
Starting from a GGA-PBE-relaxed structure, the powder diffractogram of Er2NiGe3 was calculated for Cu Kα X-rays.

Cell and atoms:
```
data_Er2NiGe3
_chemical_formula_sum 'Er4 Ni2 Ge6'
_cell_length_a 10.4079
_cell_length_b 4.1929
_cell_length_c 6.8520
_cell_angle_alpha 90.00
_cell_angle_beta 130.77
_cell_angle_gamma 90.00
_space_group_name_H-M_alt 'C 1 m 1'
_space_group_IT_number 8
loop_
_space_group_symop_operation_xyz
'x,y,z'
'x,-y,z'
'x+1/2,y+1/2,z'
'x+1/2,-y+1/2,z'
loop_
_atom_site_label
_atom_site_type_symbol
_atom_site_fract_x
_atom_site_fract_y
_atom_site_fract_z
Er1 Er 0.0000 0.0000 0.0000
Er2 Er 0.1161 0.0000 0.5997
Ni1 Ni 0.3823 0.0000 0.5506
Ge1 Ge 0.1742 0.5000 0.9392
Ge2 Ge 0.2445 0.5000 0.4257
Ge3 Ge 0.3878 0.0000 0.1934
```

The 6 most intense peaks (2θ from 15° to 90°), by angle:
h k l	two_theta	Rel. int.
1 1 0	24.04	30
3 1 -1	33.91	71
1 1 -2	35.65	100
3 1 -2	35.77	64
3 1 0	40.52	52
0 2 0	43.15	51

# 2
Starting from a GGA-PBE-relaxed structure, the powder diffractogram of Er3NiGe2 was calculated for Cu Kα X-rays.

Cell and atoms:
```
data_Er3NiGe2
_chemical_formula_sum 'Er12 Ni4 Ge8'
_cell_length_a 11.2906
_cell_length_b 4.1382
_cell_length_c 11.2073
_cell_angle_alpha 90.00
_cell_angle_beta 90.00
_cell_angle_gamma 90.00
_space_group_name_H-M_alt 'P n m a'
_space_group_IT_number 62
loop_
_space_group_symop_operation_xyz
'x,y,z'
'-x,-y,-z'
'-x+1/2,-y,z+1/2'
'x+1/2,y,-z+1/2'
'x+1/2,-y+1/2,-z+1/2'
'-x+1/2,y+1/2,z+1/2'
'-x,y+1/2,-z'
'x,-y+1/2,z'
loop_
_atom_site_label
_atom_site_type_symbol
_atom_site_fract_x
_atom_site_fract_y
_atom_site_fract_z
Er1 Er 0.0566 0.2500 0.1279
Er2 Er 0.1191 0.7500 0.5579
Er3 Er 0.2196 0.2500 0.8028
Ni1 Ni 0.1301 0.2500 0.3682
Ge1 Ge 0.0174 0.7500 0.3127
Ge2 Ge 0.1916 0.7500 0.9975
```

The 6 most intense peaks (2θ from 15° to 90°), by angle:
h k l	two_theta	Rel. int.
2 1 1	27.90	53
3 0 2	28.57	52
2 1 2	31.19	60
0 1 3	32.28	100
3 1 2	36.02	79
0 2 0	43.75	62

# 3
Starting from a GGA-PBE-relaxed structure, the powder diffractogram of ErNi8Ge2 was calculated for Cu Kα X-rays.

Cell and atoms:
```
data_ErNi8Ge2
_chemical_formula_sum 'Er1 Ni8 Ge2'
_cell_length_a 5.7213
_cell_length_b 5.7213
_cell_length_c 4.9436
_cell_angle_alpha 90.00
_cell_angle_beta 90.00
_cell_angle_gamma 90.00
_space_group_name_H-M_alt 'P 4/m m m'
_space_group_IT_number 123
_space_group_name_Hall '-P 4 2'
loop_
_atom_site_label
_atom_site_type_symbol
_atom_site_fract_x
_atom_site_fract_y
_atom_site_fract_z
Er1 Er 0.0000 0.0000 0.0000
Ni1 Ni 0.2928 0.2928 0.2450
Ge1 Ge 0.0000 0.5000 0.5000
```

The 6 most intense peaks (2θ from 15° to 90°), by angle:
h k l	two_theta	Rel. int.
1 0 1	23.79	31
1 1 1	28.51	77
2 1 0	35.07	36
1 0 2	39.70	47
2 2 0	44.81	54
2 0 2	48.68	100

# 4
Starting from a GGA-PBE-relaxed structure, the powder diffractogram of Er4NiGe8 was calculated for Cu Kα X-rays.

Cell and atoms:
```
data_Er4NiGe8
_chemical_formula_sum 'Er4 Ni1 Ge8'
_cell_length_a 3.9738
_cell_length_b 4.0690
_cell_length_c 16.0501
_cell_angle_alpha 90.00
_cell_angle_beta 90.00
_cell_angle_gamma 90.00
_space_group_name_H-M_alt 'P m m 2'
_space_group_IT_number 25
loop_
_space_group_symop_operation_xyz
'x,y,z'
'-x,-y,z'
'-x,y,z'
'x,-y,z'
loop_
_atom_site_label
_atom_site_type_symbol
_atom_site_fract_x
_atom_site_fract_y
_atom_site_fract_z
Er1 Er 0.0000 0.0000 0.0000
Er2 Er 0.0000 0.5000 0.4946
Er3 Er 0.5000 0.0000 0.7893
Er4 Er 0.5000 0.5000 0.2879
Ni1 Ni 0.0000 0.5000 0.7086
Ge1 Ge 0.0000 0.0000 0.3348
Ge2 Ge 0.0000 0.0000 0.6318
Ge3 Ge 0.0000 0.5000 0.1413
Ge4 Ge 0.0000 0.5000 0.8530
Ge5 Ge 0.5000 0.0000 0.1468
Ge6 Ge 0.5000 0.0000 0.4398
Ge7 Ge 0.5000 0.5000 0.6313
Ge8 Ge 0.5000 0.5000 0.9549
```

The 6 most intense peaks (2θ from 15° to 90°), by angle:
h k l	two_theta	Rel. int.
1 0 2	25.01	17
0 1 5	35.62	20
1 1 3	35.77	100
1 0 6	40.66	16
0 2 0	44.53	19
2 0 0	45.66	17

# 5
Starting from a GGA-PBE-relaxed structure, the powder diffractogram of ErZn2Ni2Ge was calculated for Cu Kα X-rays.

Cell and atoms:
```
data_ErZn2Ni2Ge
_chemical_formula_sum 'Er1 Zn2 Ni2 Ge1'
_cell_length_a 4.3686
_cell_length_b 4.3686
_cell_length_c 5.4976
_cell_angle_alpha 90.00
_cell_angle_beta 90.00
_cell_angle_gamma 90.00
_space_group_name_H-M_alt 'P 4/m m m'
_space_group_IT_number 123
_space_group_name_Hall '-P 4 2'
loop_
_atom_site_label
_atom_site_type_symbol
_atom_site_fract_x
_atom_site_fract_y
_atom_site_fract_z
Er1 Er 0.0000 0.0000 0.0000
Zn1 Zn 0.5000 0.5000 0.2368
Ni1 Ni 0.0000 0.5000 0.5000
Ge1 Ge 0.0000 0.0000 0.5000
```

The 6 most intense peaks (2θ from 15° to 90°), by angle:
h k l	two_theta	Rel. int.
1 1 0	28.90	48
1 1 1	33.27	56
1 0 2	38.70	100
2 0 0	41.33	75
2 1 2	57.91	60
2 2 0	59.89	24

# 6
Starting from a GGA-PBE-relaxed structure, the powder diffractogram of ErGeO was calculated for Cu Kα X-rays.

Cell and atoms:
```
data_ErGeO
_chemical_formula_sum 'Er8 Ge8 O8'
_cell_length_a 8.2114
_cell_length_b 9.7515
_cell_length_c 6.7685
_cell_angle_alpha 90.00
_cell_angle_beta 118.74
_cell_angle_gamma 90.00
_space_group_name_H-M_alt 'C 1 c 1'
_space_group_IT_number 9
loop_
_space_group_symop_operation_xyz
'x,y,z'
'x,-y,z+1/2'
'x+1/2,y+1/2,z'
'x+1/2,-y+1/2,z+1/2'
loop_
_atom_site_label
_atom_site_type_symbol
_atom_site_fract_x
_atom_site_fract_y
_atom_site_fract_z
Er1 Er 0.0000 0.0536 0.0000
Er2 Er 0.1583 0.2691 0.5962
Ge1 Ge 0.0881 0.4278 0.1911
Ge2 Ge 0.4091 0.0866 0.2826
O1 O 0.0795 0.1125 0.7456
O2 O 0.4436 0.3536 0.7811
```

The 6 most intense peaks (2θ from 15° to 90°), by angle:
h k l	two_theta	Rel. int.
2 0 0	24.73	23
1 1 1	25.30	22
2 0 -2	28.32	27
1 3 -1	30.93	100
3 1 -1	34.14	21
1 1 2	39.10	19

# 7
Starting from a GGA-PBE-relaxed structure, the powder diffractogram of Er2GeO5 was calculated for Cu Kα X-rays.

Cell and atoms:
```
data_Er2GeO5
_chemical_formula_sum 'Er8 Ge4 O20'
_cell_length_a 9.3439
_cell_length_b 6.8860
_cell_length_c 6.7875
_cell_angle_alpha 90.00
_cell_angle_beta 98.52
_cell_angle_gamma 90.00
_space_group_name_H-M_alt 'P 1 21/c 1'
_space_group_IT_number 14
loop_
_space_group_symop_operation_xyz
'x,y,z'
'-x,-y,-z'
'-x,y+1/2,-z+1/2'
'x,-y+1/2,z+1/2'
loop_
_atom_site_label
_atom_site_type_symbol
_atom_site_fract_x
_atom_site_fract_y
_atom_site_fract_z
Er1 Er 0.0334 0.1184 0.2260
Er2 Er 0.3470 0.1428 0.9770
Ge1 Ge 0.2991 0.6038 0.9806
O1 O 0.1044 0.1206 0.9148
O2 O 0.1072 0.6480 0.9631
O3 O 0.2824 0.0686 0.2764
O4 O 0.3576 0.0739 0.6604
O5 O 0.4042 0.6860 0.4872
```

The 6 most intense peaks (2θ from 15° to 90°), by angle:
h k l	two_theta	Rel. int.
1 1 0	16.05	27
1 0 -2	26.89	50
3 0 0	28.99	59
1 2 1	31.38	100
2 2 -1	34.00	46
4 2 1	51.08	30

# 8
Starting from a GGA-PBE-relaxed structure, the powder diffractogram of PmErGe2O8 was calculated for Cu Kα X-rays.

Cell and atoms:
```
data_PmErGe2O8
_chemical_formula_sum 'Pm2 Er2 Ge4 O16'
_cell_length_a 5.1292
_cell_length_b 5.1292
_cell_length_c 11.3783
_cell_angle_alpha 90.00
_cell_angle_beta 90.00
_cell_angle_gamma 90.00
_space_group_name_H-M_alt 'I -4'
_space_group_IT_number 82
loop_
_space_group_symop_operation_xyz
'x,y,z'
'y,-x,-z'
'-x,-y,z'
'-y,x,-z'
'x+1/2,y+1/2,z+1/2'
'y+1/2,-x+1/2,-z+1/2'
'-x+1/2,-y+1/2,z+1/2'
'-y+1/2,x+1/2,-z+1/2'
loop_
_atom_site_label
_atom_site_type_symbol
_atom_site_fract_x
_atom_site_fract_y
_atom_site_fract_z
Pm1 Pm 0.0000 0.0000 0.0000
Er1 Er 0.0000 0.5000 0.7500
Ge1 Ge 0.0000 0.0000 0.5000
Ge2 Ge 0.0000 0.5000 0.2500
O1 O 0.1436 0.2565 0.5840
O2 O 0.1565 0.7570 0.1712
```

The 6 most intense peaks (2θ from 15° to 90°), by angle:
h k l	two_theta	Rel. int.
1 1 2	29.20	100
0 0 4	31.45	15
2 0 0	34.99	20
2 0 4	47.75	29
1 1 6	54.61	17
1 3 2	59.24	28

# 9
Starting from a GGA-PBE-relaxed structure, the powder diffractogram of ErTaGe2O8 was calculated for Cu Kα X-rays.

Cell and atoms:
```
data_ErTaGe2O8
_chemical_formula_sum 'Er2 Ta2 Ge4 O16'
_cell_length_a 6.8067
_cell_length_b 6.8067
_cell_length_c 6.2636
_cell_angle_alpha 90.00
_cell_angle_beta 90.00
_cell_angle_gamma 90.00
_space_group_name_H-M_alt 'I -4 m 2'
_space_group_IT_number 119
_space_group_name_Hall 'I -4 -2'
loop_
_atom_site_label
_atom_site_type_symbol
_atom_site_fract_x
_atom_site_fract_y
_atom_site_fract_z
Er1 Er 0.0000 0.0000 0.0000
Ta1 Ta 0.0000 0.5000 0.2500
Ge1 Ge 0.0000 0.0000 0.5000
Ge2 Ge 0.0000 0.5000 0.7500
O1 O 0.0000 0.1978 0.3159
O2 O 0.0000 0.3234 0.9557
```

The 6 most intense peaks (2θ from 15° to 90°), by angle:
h k l	two_theta	Rel. int.
1 0 1	19.26	31
2 0 0	26.18	100
1 1 2	34.16	78
2 2 0	37.37	24
3 1 2	51.52	63
3 3 2	65.35	18

# 10
Starting from a GGA-PBE-relaxed structure, the powder diffractogram of Er2ZnGeO6 was calculated for Cu Kα X-rays.

Cell and atoms:
```
data_Er2ZnGeO6
_chemical_formula_sum 'Er2 Zn1 Ge1 O6'
_cell_length_a 5.1399
_cell_length_b 5.1399
_cell_length_c 4.8666
_cell_angle_alpha 90.00
_cell_angle_beta 90.00
_cell_angle_gamma 90.00
_space_group_name_H-M_alt 'P 4 m m'
_space_group_IT_number 99
loop_
_space_group_symop_operation_xyz
'x,y,z'
'-y,x,z'
'-x,-y,z'
'y,-x,z'
'-x,y,z'
'y,x,z'
'x,-y,z'
'-y,-x,z'
loop_
_atom_site_label
_atom_site_type_symbol
_atom_site_fract_x
_atom_site_fract_y
_atom_site_fract_z
Er1 Er 0.0000 0.5000 0.0000
Zn1 Zn 0.0000 0.0000 0.5553
Ge1 Ge 0.5000 0.5000 0.5989
O1 O 0.0000 0.0000 0.1615
O2 O 0.2598 0.2598 0.7327
O3 O 0.5000 0.5000 0.2296
```

The 6 most intense peaks (2θ from 15° to 90°), by angle:
h k l	two_theta	Rel. int.
0 0 1	18.23	24
1 1 1	30.70	100
2 0 0	34.91	35
2 2 0	50.20	20
2 0 2	51.74	24
3 1 1	60.01	30